# LiMnB2O5
Calculated X-ray diffraction stick pattern, Cu Kα, 1.54184 Å. Input: a DFT-relaxed cell (PBE+U, Alexandria).
Intensities are scaled so that the largest is 100.

Most intense lines, 2θ = 10–80°, by angle:
d 4.930, I = 59; d 4.414, I = 13; d 3.594, I = 35; d 3.525, I = 27; d 3.254, I = 100; d 3.076, I = 46; d 3.032, I = 11; d 3.012, I = 14; d 2.513, I = 21; d 1.694, I = 17

a = 7.780 Å, b = 11.886 Å, c = 9.558 Å
α = 90.00°, β = 112.52°, γ = 90.00°
Space group C2/c (No. 15)
One atom of each set of equivalent atoms:
Li: 0.000 0.122 0.250 x4
Li: 0.000 0.348 0.750 x4
Mn: 0.215 0.361 0.157 x8
B: 0.078 0.187 0.523 x8
B: 0.241 0.000 0.088 x8
O: 0.035 0.243 0.102 x8
O: 0.121 0.220 0.669 x8
O: 0.148 0.086 0.486 x8
O: 0.179 0.413 0.958 x8
O: 0.246 0.499 0.264 x8